The following is a simulated PXRD pattern of PuThNp2N4. It was derived from a cell relaxed with PBE, using a wavelength of 1.5418 Å.
Peak positions follow from Bragg's law for the DFT cell and can differ from measured ones.

Top 10 peaks for 10° ≤ 2θ ≤ 90°, in order of rising 2θ:
2θ (°), I/Imax
30.99, 40
31.28, 77
31.40, 38
36.22, 100
51.90, 24
52.43, 23
61.73, 18
62.01, 12
62.23, 24
65.25, 12

Structure:
Lattice parameters (Å, degrees): 6.0389 3.5012 6.1161 90.00 109.34 90.00
Atoms (fractional coordinates):
1 Pu 0.0000 0.0000 0.0000
2 Th 0.5000 0.5000 0.0000
3 Np 0.0000 0.5000 0.5000
4 Np 0.5000 0.0000 0.5000
5 N 0.2384 0.0000 0.7252
6 N 0.2533 0.5000 0.2716
7 N 0.7467 0.5000 0.7284
8 N 0.7616 0.0000 0.2748